For Fe3O4, a GGA+U-relaxed structure gives the simulated powder diffractogram in this record (Cu Kα (weighted mean of Kα1 and Kα2)).
No peak broadening, texture or thermal motion is included.

Structure:
```
Fe3O4
1.0
5.2142 -2.9842 0.0000
5.2142 2.9842 0.0000
-1.3061 0.0000 4.8777
Fe O
6 8
Direct
0.0000 0.0000 0.0000
0.2491 0.2491 0.4945
0.2495 0.7505 0.5000
0.5000 0.5000 0.0000
0.7505 0.2495 0.5000
0.7509 0.7509 0.5055
0.1034 0.1034 0.7070
0.1397 0.6418 0.7613
0.3582 0.8603 0.2387
0.3965 0.3965 0.2928
0.6035 0.6035 0.7072
0.6418 0.1397 0.7613
0.8603 0.3582 0.2387
0.8966 0.8966 0.2930
```

Main lines, low angle first (10 to 90 degrees two-theta):
2θ/deg, I_rel
17.61, 51
18.19, 36
21.84, 18
35.65, 25
36.85, 18
37.37, 32
41.87, 100
44.53, 44
61.97, 26
63.57, 26

=====

For Fe3O4, a GGA+U-relaxed structure gives the simulated powder diffractogram in this record (Cu Kα (weighted mean of Kα1 and Kα2)).
No peak broadening, texture or thermal motion is included.

Structure:
```
Fe3O4
1.0
6.1036 0.0000 0.0000
0.0000 6.0169 0.0000
-0.0657 0.0000 8.5241
Fe O
12 16
Direct
0.0000 0.0000 0.0000
0.0000 0.5000 0.5000
0.2449 0.0000 0.6243
0.2500 0.2470 0.2485
0.2500 0.7530 0.2485
0.2547 0.5000 0.8726
0.5000 0.0000 0.0000
0.5000 0.5000 0.5000
0.7453 0.5000 0.1274
0.7500 0.2470 0.7515
0.7500 0.7530 0.7515
0.7551 0.0000 0.3757
0.0081 0.0000 0.2438
0.0082 0.5000 0.2575
0.2383 0.2601 0.4933
0.2383 0.7399 0.4933
0.2609 0.2419 0.0083
0.2609 0.7581 0.0083
0.4883 0.5000 0.2539
0.4959 0.0000 0.2404
0.5041 0.0000 0.7596
0.5117 0.5000 0.7461
0.7391 0.2419 0.9917
0.7391 0.7581 0.9917
0.7617 0.2601 0.5067
0.7617 0.7399 0.5067
0.9919 0.0000 0.7562
0.9918 0.5000 0.7425
```

Main lines, low angle first (10 to 90 degrees two-theta):
2θ/deg, I_rel
29.48, 16
29.66, 24
34.52, 29
34.68, 44
34.90, 100
42.18, 24
56.10, 17
60.69, 14
61.18, 27
61.54, 26

=====

For Fe10O11, a GGA+U-relaxed structure gives the simulated powder diffractogram in this record (Cu Kα (weighted mean of Kα1 and Kα2)).
No peak broadening, texture or thermal motion is included.

Structure:
```
Fe10O11
1.0
6.8103 0.0000 0.0000
-2.1459 6.5506 0.0000
-2.6016 -2.2132 10.2005
Fe O
20 22
Direct
0.0000 0.0000 0.0000
0.0000 0.0000 0.5000
0.0826 0.4426 0.1373
0.0937 0.4706 0.6416
0.1683 0.9124 0.2704
0.2621 0.3607 0.4064
0.2750 0.3489 0.9087
0.3572 0.8195 0.5490
0.3690 0.8219 0.0469
0.4447 0.2594 0.6849
0.4661 0.2732 0.1860
0.5339 0.7268 0.8140
0.5553 0.7406 0.3151
0.6310 0.1781 0.9531
0.6428 0.1805 0.4510
0.7250 0.6511 0.0913
0.7379 0.6393 0.5936
0.8317 0.0876 0.7296
0.9063 0.5294 0.3584
0.9174 0.5574 0.8627
0.0389 0.7194 0.5602
0.0521 0.7334 0.0787
0.1272 0.1971 0.6983
0.1599 0.1787 0.2057
0.2353 0.6517 0.3379
0.2419 0.6243 0.8530
0.3170 0.0843 0.4664
0.3268 0.1096 0.9964
0.4041 0.5321 0.1201
0.4230 0.5543 0.6213
0.4712 0.0000 0.2452
0.5288 0.0000 0.7548
0.5770 0.4457 0.3787
0.5959 0.4679 0.8799
0.6732 0.8904 0.0036
0.6830 0.9157 0.5336
0.7581 0.3757 0.1470
0.7647 0.3483 0.6621
0.8401 0.8213 0.7943
0.8728 0.8029 0.3017
0.9479 0.2666 0.9213
0.9611 0.2806 0.4398
```

Main lines, low angle first (10 to 90 degrees two-theta):
2θ/deg, I_rel
35.50, 44
35.65, 43
35.81, 85
40.77, 100
41.42, 94
42.15, 90
59.35, 29
59.69, 27
60.09, 53
60.26, 26

=====

For Fe3O4, a GGA+U-relaxed structure gives the simulated powder diffractogram in this record (Cu Kα (weighted mean of Kα1 and Kα2)).
No peak broadening, texture or thermal motion is included.

Structure:
```
Fe3O4
1.0
6.0634 0.0000 0.0000
0.0000 6.0657 0.0000
-0.0318 0.0000 8.6853
Fe O
12 16
Direct
0.0000 0.0000 0.0000
0.0000 0.5000 0.5000
0.2470 0.0000 0.6225
0.2481 0.5000 0.8785
0.2526 0.2520 0.2506
0.2526 0.7480 0.2506
0.5000 0.0000 0.0000
0.5000 0.5000 0.5000
0.7474 0.2520 0.7494
0.7474 0.7480 0.7494
0.7519 0.5000 0.1215
0.7530 0.0000 0.3775
0.0119 0.0000 0.2429
0.0239 0.5000 0.2682
0.2390 0.2576 0.4929
0.2390 0.7424 0.4929
0.2407 0.2321 0.0211
0.2407 0.7679 0.0211
0.4768 0.5000 0.2588
0.4831 0.0000 0.2581
0.5169 0.0000 0.7419
0.5232 0.5000 0.7412
0.7593 0.2321 0.9789
0.7593 0.7679 0.9789
0.7610 0.2576 0.5071
0.7610 0.7424 0.5071
0.9761 0.5000 0.7318
0.9881 0.0000 0.7571
```

Main lines, low angle first (10 to 90 degrees two-theta):
2θ/deg, I_rel
17.84, 15
29.27, 29
34.31, 37
34.65, 100
42.15, 21
55.62, 16
55.69, 14
60.62, 23
60.79, 23
61.13, 23